# CsGaAgSb2
Calculated powder diffractogram, CuKα. Input: a DFT-relaxed cell (GGA-PBE, Alexandria).

Structural model:
Lattice parameters (Å, degrees): 7.211 7.211 7.712 90.00 90.00 119.12
Positions (direct):
Cs: 0.250 0.750 0.757
Cs: 0.750 0.250 0.243
Ga: 0.250 0.250 0.500
Ga: 0.750 0.750 0.500
Ag: 0.000 0.000 0.000
Ag: 0.500 0.500 0.000
Sb: 0.108 0.892 0.304
Sb: 0.392 0.608 0.304
Sb: 0.608 0.392 0.696
Sb: 0.892 0.108 0.696

Main lines, low angle first (10° ≤ 2θ ≤ 80°):
d (Å)  2theta  I_rel
3.653  24.4  38
3.269  27.3  100
2.916  30.7  13
2.652  33.8  15
2.263  39.8  17
2.102  43.0  14
2.093  43.2  11
2.026  44.7  19
1.826  49.9  21
1.292  73.3  14

***

# CsBaOF
Calculated powder diffractogram, CuKα. Input: a DFT-relaxed cell (GGA-PBE, Alexandria).

Structural model:
Lattice parameters (Å, degrees): 4.156 4.156 7.339 90.00 90.00 120.00
Positions (direct):
Cs: 0.000 0.000 0.000
Ba: 0.333 0.667 0.507
O: 0.000 0.000 0.378
F: 0.667 0.333 0.772

Main lines, low angle first (10° ≤ 2θ ≤ 80°):
d (Å)  2theta  I_rel
3.670  24.3  29
3.599  24.7  20
3.232  27.6  100
2.570  34.9  26
2.078  43.6  26
2.023  44.8  31
1.808  50.5  23
1.748  52.3  17
1.375  68.2  11
1.338  70.4  14

***

# U2Si3Ni12Pt
Calculated powder diffractogram, CuKα. Input: a DFT-relaxed cell (GGA-PBE, Alexandria).

Structural model:
Lattice parameters (Å, degrees): 6.240 6.240 6.240 83.88 83.88 83.88
Positions (direct):
U: 0.107 0.107 0.107
U: 0.893 0.893 0.893
Si: 0.000 0.500 0.500
Si: 0.500 0.000 0.500
Si: 0.500 0.500 0.000
Ni: 0.124 0.124 0.571
Ni: 0.124 0.571 0.124
Ni: 0.177 0.697 0.697
Ni: 0.303 0.303 0.823
Ni: 0.303 0.823 0.303
Ni: 0.429 0.876 0.876
Ni: 0.571 0.124 0.124
Ni: 0.697 0.177 0.697
Ni: 0.697 0.697 0.177
Ni: 0.823 0.303 0.303
Ni: 0.876 0.429 0.876
Ni: 0.876 0.876 0.429
Pt: 0.500 0.500 0.500

Main lines, low angle first (10° ≤ 2θ ≤ 80°):
d (Å)  2theta  I_rel
6.175  14.3  21
4.594  19.3  25
4.170  21.3  39
2.875  31.1  28
2.482  36.2  35
2.261  39.9  52
2.085  43.4  100
1.794  50.9  50
1.533  60.4  27
1.360  69.1  21

***

# In3NO3
Calculated powder diffractogram, CuKα. Input: a DFT-relaxed cell (GGA-PBE, Alexandria).

Structural model:
Lattice parameters (Å, degrees): 6.559 6.559 6.559 119.96 90.30 119.69
Positions (direct):
In: 0.000 0.000 0.000
In: 0.000 0.500 0.500
In: 0.005 0.508 0.997
In: 0.408 0.273 0.635
In: 0.511 0.008 0.003
In: 0.639 0.773 0.365
N: 0.771 0.035 0.236
N: 0.799 0.535 0.764
O: 0.232 0.495 0.237
O: 0.257 0.524 0.759
O: 0.257 0.998 0.233
O: 0.258 0.995 0.763
O: 0.765 0.024 0.767
O: 0.765 0.498 0.241

Main lines, low angle first (10° ≤ 2θ ≤ 80°):
d (Å)  2theta  I_rel
5.359  16.5  11
3.280  27.2  33
2.803  31.9  100
2.792  32.1  49
2.681  33.4  33
2.325  38.7  12
1.893  48.1  11
1.790  51.0  33
1.783  51.2  15
1.640  56.1  49

***

# Ta4FeS8
Calculated powder diffractogram, CuKα. Input: a DFT-relaxed cell (GGA-PBE, Alexandria).

Structural model:
Lattice parameters (Å, degrees): 6.626 6.626 11.738 90.00 90.00 120.00
Positions (direct):
Ta: 0.000 0.000 0.250
Ta: 0.000 0.000 0.750
Ta: 0.012 0.506 0.250
Ta: 0.494 0.506 0.250
Ta: 0.494 0.988 0.250
Ta: 0.506 0.012 0.750
Ta: 0.506 0.494 0.750
Ta: 0.988 0.494 0.750
Fe: 0.000 0.000 0.000
Fe: 0.000 0.000 0.500
S: 0.165 0.330 0.616
S: 0.165 0.330 0.884
S: 0.165 0.835 0.616
S: 0.165 0.835 0.884
S: 0.330 0.165 0.116
S: 0.330 0.165 0.384
S: 0.333 0.667 0.113
S: 0.333 0.667 0.387
S: 0.667 0.333 0.613
S: 0.667 0.333 0.887
S: 0.670 0.835 0.616
S: 0.670 0.835 0.884
S: 0.835 0.165 0.116
S: 0.835 0.165 0.384
S: 0.835 0.670 0.116
S: 0.835 0.670 0.384

Main lines, low angle first (10° ≤ 2θ ≤ 80°):
d (Å)  2theta  I_rel
5.869  15.1  100
2.934  30.5  13
2.869  31.2  57
2.578  34.8  94
2.052  44.1  87
1.657  55.5  28
1.616  57.0  19
1.594  57.8  19
1.394  67.2  14
1.289  73.5  19

***

# Sr3Tl2N
Calculated powder diffractogram, CuKα. Input: a DFT-relaxed cell (GGA-PBE, Alexandria).

Structural model:
Lattice parameters (Å, degrees): 7.867 7.867 7.086 90.00 90.00 120.00
Positions (direct):
Sr: 0.142 0.284 0.250
Sr: 0.142 0.858 0.250
Sr: 0.284 0.142 0.750
Sr: 0.716 0.858 0.250
Sr: 0.858 0.142 0.750
Sr: 0.858 0.716 0.750
Tl: 0.333 0.667 0.552
Tl: 0.333 0.667 0.948
Tl: 0.667 0.333 0.052
Tl: 0.667 0.333 0.448
N: 0.000 0.000 0.000
N: 0.000 0.000 0.500

Main lines, low angle first (10° ≤ 2θ ≤ 80°):
d (Å)  2theta  I_rel
3.933  22.6  100
3.406  26.2  55
3.143  28.4  54
3.070  29.1  95
2.632  34.1  96
2.575  34.8  31
2.232  40.4  44
1.967  46.2  48
1.912  47.6  45
1.741  52.6  59